Theoretical X-ray powder pattern of TiBe5Pt for CuKα, from a crystal structure in Alexandria, relaxed with GGA-PBE.
Peak positions follow from Bragg's law for the DFT cell and can differ from measured ones.

Atomic structure:
```
data_TiBe5Pt
_chemical_formula_sum 'Ti4 Be20 Pt4'
_symmetry_space_group_name_H-M 'P n m a'
_symmetry_Int_Tables_number 62
_symmetry_space_group_name_Hall '-P 2ac 2n'
_cell_length_a 7.266
_cell_length_b 4.253
_cell_length_c 9.126
_cell_angle_alpha 90.00
_cell_angle_beta 90.00
_cell_angle_gamma 90.00
loop_
_atom_site_label
_atom_site_type_symbol
_atom_site_fract_x
_atom_site_fract_y
_atom_site_fract_z
Ti1 Ti 0.239 0.250 0.067
Be1 Be 0.035 0.750 0.105
Be2 Be 0.057 0.005 0.311
Be3 Be 0.079 0.250 0.515
Be4 Be 0.200 0.250 0.744
Pt1 Pt 0.147 0.750 0.865
```

Top 10 peaks for 15° ≤ 2θ ≤ 90°, most intense first:
(hkl), Position (°2θ), intensity
0 1 1, 23.1, 1000
1 1 3, 38.4, 406
1 0 1, 15.6, 360
2 1 0, 32.4, 342
2 0 1, 26.4, 333
1 1 2, 31.3, 323
3 1 2, 47.6, 291
2 1 4, 52.0, 222
0 1 3, 36.3, 198
0 2 0, 42.5, 167

***

Theoretical X-ray powder pattern of Ac6Co2IrCl3 for CuKα, from a crystal structure in Alexandria, relaxed with GGA-PBE.
Peak positions follow from Bragg's law for the DFT cell and can differ from measured ones.

Atomic structure:
```
data_Ac6Co2IrCl3
_chemical_formula_sum 'Ac12 Co4 Ir2 Cl6'
_symmetry_space_group_name_H-M 'C 1 2/m 1'
_symmetry_Int_Tables_number 12
_symmetry_space_group_name_Hall '-C 2y'
_cell_length_a 20.115
_cell_length_b 4.245
_cell_length_c 9.371
_cell_angle_alpha 90.00
_cell_angle_beta 110.86
_cell_angle_gamma 90.00
loop_
_atom_site_label
_atom_site_type_symbol
_atom_site_fract_x
_atom_site_fract_y
_atom_site_fract_z
Ac1 Ac 0.013 0.000 0.228
Ac2 Ac 0.158 0.500 0.116
Ac3 Ac 0.179 0.500 0.554
Co1 Co 0.168 0.000 0.336
Ir1 Ir 0.000 0.500 0.000
Cl1 Cl 0.000 0.500 0.500
Cl2 Cl 0.168 0.000 0.834
```

Top 10 peaks for 15° ≤ 2θ ≤ 90°, most intense first:
(hkl), Position (°2θ), intensity
6 0 0, 28.5, 1000
0 2 0, 42.6, 387
3 1 0, 25.3, 375
9 1 -3, 48.6, 256
3 1 -3, 35.9, 252
6 2 0, 52.0, 189
7 1 -2, 38.8, 187
1 3 -2, 69.4, 158
10 2 -5, 74.4, 120
2 0 -4, 38.8, 95

***

Theoretical X-ray powder pattern of Ac3NdY8 for CuKα, from a crystal structure in Alexandria, relaxed with GGA-PBE.
Peak positions follow from Bragg's law for the DFT cell and can differ from measured ones.

Atomic structure:
```
data_Ac3NdY8
_chemical_formula_sum 'Ac6 Nd2 Y16'
_symmetry_space_group_name_H-M 'I m m 2'
_symmetry_Int_Tables_number 44
_symmetry_space_group_name_Hall 'I 2 -2'
_cell_length_a 11.198
_cell_length_b 11.805
_cell_length_c 6.482
_cell_angle_alpha 90.00
_cell_angle_beta 90.00
_cell_angle_gamma 90.00
loop_
_atom_site_label
_atom_site_type_symbol
_atom_site_fract_x
_atom_site_fract_y
_atom_site_fract_z
Ac1 Ac 0.000 0.000 0.000
Ac2 Ac 0.000 0.253 0.654
Nd1 Nd 0.000 0.500 0.999
Y1 Y 0.168 0.500 0.488
Y2 Y 0.169 0.252 0.161
Y3 Y 0.172 0.000 0.490
```

Top 10 peaks for 15° ≤ 2θ ≤ 90°, most intense first:
(hkl), Position (°2θ), intensity
3 2 1, 31.5, 1000
0 4 0, 30.3, 247
0 0 2, 27.6, 238
6 4 0, 58.5, 226
3 6 1, 54.6, 210
0 4 2, 41.4, 159
1 2 1, 21.9, 155
3 0 3, 48.7, 131
2 0 0, 15.8, 118
6 2 2, 59.2, 106

***

Theoretical X-ray powder pattern of Ac2NdSb3 for CuKα, from a crystal structure in Alexandria, relaxed with GGA-PBE.
Peak positions follow from Bragg's law for the DFT cell and can differ from measured ones.

Atomic structure:
```
data_Ac2NdSb3
_chemical_formula_sum 'Ac8 Nd4 Sb12'
_symmetry_space_group_name_H-M 'C 1 2/m 1'
_symmetry_Int_Tables_number 12
_symmetry_space_group_name_Hall '-C 2y'
_cell_length_a 8.164
_cell_length_b 14.124
_cell_length_c 8.162
_cell_angle_alpha 90.00
_cell_angle_beta 109.45
_cell_angle_gamma 90.00
loop_
_atom_site_label
_atom_site_type_symbol
_atom_site_fract_x
_atom_site_fract_y
_atom_site_fract_z
Ac1 Ac 0.000 0.000 0.000
Ac2 Ac 0.000 0.165 0.500
Ac3 Ac 0.000 0.500 0.500
Nd1 Nd 0.000 0.333 0.000
Sb1 Sb 0.238 0.500 0.239
Sb2 Sb 0.249 0.330 0.759
```

Top 10 peaks for 15° ≤ 2θ ≤ 90°, most intense first:
(hkl), Position (°2θ), intensity
1 3 1, 26.8, 1000
0 6 0, 38.2, 782
5 3 -3, 62.3, 370
4 0 0, 47.3, 284
6 0 -2, 69.1, 272
4 0 -4, 55.1, 134
5 9 -3, 87.9, 134
0 0 2, 23.1, 76
6 6 -2, 81.7, 71
1 3 3, 45.1, 60

***

Theoretical X-ray powder pattern of ReIrRhW for CuKα, from a crystal structure in Alexandria, relaxed with GGA-PBE.
Peak positions follow from Bragg's law for the DFT cell and can differ from measured ones.

Atomic structure:
```
data_ReIrRhW
_chemical_formula_sum 'Re1 Ir1 Rh1 W1'
_symmetry_space_group_name_H-M 'P m m m'
_symmetry_Int_Tables_number 47
_symmetry_space_group_name_Hall '-P 2 2'
_cell_length_a 3.868
_cell_length_b 3.877
_cell_length_c 3.951
_cell_angle_alpha 90.00
_cell_angle_beta 90.00
_cell_angle_gamma 90.00
loop_
_atom_site_label
_atom_site_type_symbol
_atom_site_fract_x
_atom_site_fract_y
_atom_site_fract_z
Re1 Re 0.000 0.000 0.000
Ir1 Ir 0.500 0.000 0.500
Rh1 Rh 0.000 0.500 0.500
W1 W 0.500 0.500 0.000
```

Top 10 peaks for 15° ≤ 2θ ≤ 90°, most intense first:
(hkl), Position (°2θ), intensity
1 1 1, 40.1, 1000
2 0 2, 67.8, 214
0 0 2, 45.9, 170
0 2 0, 46.9, 160
2 0 0, 47.0, 159
1 1 3, 81.0, 132
1 3 1, 82.4, 127
3 1 1, 82.5, 126
2 2 2, 86.5, 114
2 2 0, 68.5, 104

***

Theoretical X-ray powder pattern of PaH3Br6 for CuKα, from a crystal structure in Alexandria, relaxed with GGA-PBE.
Peak positions follow from Bragg's law for the DFT cell and can differ from measured ones.

Atomic structure:
```
data_PaH3Br6
_chemical_formula_sum 'Pa2 H6 Br12'
_symmetry_space_group_name_H-M 'C 1 2/m 1'
_symmetry_Int_Tables_number 12
_symmetry_space_group_name_Hall '-C 2y'
_cell_length_a 14.360
_cell_length_b 7.113
_cell_length_c 6.200
_cell_angle_alpha 90.00
_cell_angle_beta 96.18
_cell_angle_gamma 90.00
loop_
_atom_site_label
_atom_site_type_symbol
_atom_site_fract_x
_atom_site_fract_y
_atom_site_fract_z
Pa1 Pa 0.000 0.000 0.000
H1 H 0.000 0.500 0.500
H2 H 0.176 0.500 0.274
Br1 Br 0.068 0.271 0.742
Br2 Br 0.166 0.000 0.240
```

Top 10 peaks for 15° ≤ 2θ ≤ 90°, most intense first:
(hkl), Position (°2θ), intensity
1 1 -1, 19.6, 1000
2 2 -1, 31.0, 797
4 0 1, 30.3, 554
6 2 0, 45.9, 384
3 1 2, 38.6, 352
2 0 1, 20.0, 293
2 2 -2, 39.7, 278
2 2 2, 41.8, 254
0 0 2, 29.0, 247
3 1 -1, 25.6, 231